Record 1
PrDy4S5: theoretical powder diffraction line list (copper Kα), based on a PBE-relaxed structure.
Intensities are scaled so that the largest is 100.

Principal peaks in the range 15 to 90 degrees two-theta, most intense first:
| 2theta | d/Å | I/Imax |
| --- | --- | --- |
| 32.1 | 2.791 | 100 |
| 27.7 | 3.223 | 81 |
| 46.0 | 1.974 | 48 |
| 54.5 | 1.684 | 26 |
| 76.3 | 1.248 | 21 |
| 54.6 | 1.680 | 13 |

Atomic structure:
```
PrDy4S5
1.0
-1.9682 2.7922 9.8899
1.9682 -2.7922 9.8899
1.9682 2.7922 -9.8899
Pr Dy S
1 4 5
Direct
0.0000 0.0000 0.0000
0.2025 0.2025 0.0000
0.4005 0.4005 0.0000
0.5995 0.5995 0.0000
0.7975 0.7975 0.0000
0.1063 0.6063 0.5000
0.3011 0.8012 0.5000
0.5000 0.0000 0.5000
0.6988 0.1988 0.5000
0.8937 0.3937 0.5000
```


Record 2
La2YMg2: theoretical powder diffraction line list (copper Kα), based on a PBE-relaxed structure.
Intensities are scaled so that the largest is 100.

Principal peaks in the range 15 to 90 degrees two-theta, most intense first:
| 2theta | d/Å | I/Imax |
| --- | --- | --- |
| 31.4 | 2.845 | 100 |
| 23.5 | 3.792 | 71 |
| 33.3 | 2.690 | 70 |
| 35.0 | 2.566 | 64 |
| 39.6 | 2.276 | 61 |
| 59.4 | 1.557 | 40 |

Atomic structure:
```
La2YMg2
1.0
1.9411 -10.4545 0.0000
1.9411 10.4545 0.0000
0.0000 0.0000 3.7924
La Y Mg
2 1 2
Direct
0.1851 0.8149 0.0000
0.8149 0.1851 0.0000
0.0000 0.0000 0.0000
0.4144 0.5856 0.5000
0.5856 0.4144 0.5000
```